For MnIn3Br4, a DFT-relaxed cell (GGA-PBE, Alexandria) gives the computed XRD peak list in this record (Cu Kα X-rays).

Top 8 peaks for 2θ = 10–90°, by intensity:
two_theta	d/Å	I/Imax
29.7	3.007	100
34.8	2.580	51
33.0	2.714	48
30.4	2.939	46
26.1	3.420	33
28.4	3.148	33
31.2	2.871	28
24.3	3.662	19

abc: 11.7575 6.2957 6.9994
angles: 90.00 90.00 90.00
Element x y z (fractional)
Mn  0.0000  0.0188  0.0000
Mn  0.5000  0.9812  0.5000
In  0.0000  0.4723  0.4628
In  0.2457  0.3925  0.7098
In  0.2543  0.6075  0.2098
In  0.5000  0.5277  0.9628
In  0.7457  0.6075  0.2098
In  0.7543  0.3925  0.7098
Br  0.0000  0.4231  0.9878
Br  0.0000  0.9541  0.3493
Br  0.1784  0.9143  0.8363
Br  0.3216  0.0857  0.3363
Br  0.5000  0.0459  0.8493
Br  0.5000  0.5769  0.4878
Br  0.6784  0.0857  0.3363
Br  0.8216  0.9143  0.8363

***

For K2UBSe5, a DFT-relaxed cell (GGA-PBE, Alexandria) gives the computed XRD peak list in this record (Cu Kα X-rays).

Top 8 peaks for 2θ = 10–90°, by intensity:
two_theta	d/Å	I/Imax
29.4	3.037	100
11.1	7.962	63
15.5	5.714	48
12.5	7.106	42
28.6	3.126	28
23.3	3.813	24
44.2	2.049	23
36.5	2.464	23

abc: 9.8225 9.8225 14.2114
angles: 90.07 90.07 23.76
Element x y z (fractional)
K  0.0000  0.0000  0.0000
K  0.0133  0.0133  0.3421
K  0.7625  0.7625  0.8428
K  0.7761  0.7761  0.5002
U  0.0793  0.0793  0.6916
U  0.6968  0.6968  0.1920
B  0.3095  0.3095  0.0646
B  0.4666  0.4666  0.5639
Se  0.1997  0.1997  0.3242
Se  0.2041  0.2041  0.0489
Se  0.2136  0.2136  0.6691
Se  0.3695  0.3695  0.9555
Se  0.4064  0.4064  0.4547
Se  0.5625  0.5625  0.1689
Se  0.5720  0.5720  0.5485
Se  0.5763  0.5763  0.8238
Se  0.8363  0.8363  0.1562
Se  0.9398  0.9398  0.6554

***

For BSb2S4, a DFT-relaxed cell (GGA-PBE, Alexandria) gives the computed XRD peak list in this record (Cu Kα X-rays).

Top 8 peaks for 2θ = 10–90°, by intensity:
two_theta	d/Å	I/Imax
20.1	4.419	100
37.0	2.432	70
15.1	5.871	67
30.1	2.967	53
40.9	2.209	47
28.9	3.094	45
26.8	3.327	34
30.5	2.936	31

abc: 6.6220 6.1886 8.2799
angles: 90.00 107.61 90.00
Element x y z (fractional)
B  0.1982  0.2500  0.2735
B  0.8018  0.7500  0.7265
Sb  0.2121  0.7500  0.0883
Sb  0.3151  0.7500  0.5508
Sb  0.6849  0.2500  0.4492
Sb  0.7879  0.2500  0.9117
S  0.0081  0.0087  0.2172
S  0.0081  0.4913  0.2172
S  0.3426  0.2500  0.5212
S  0.4104  0.2500  0.1598
S  0.5896  0.7500  0.8402
S  0.6574  0.7500  0.4788
S  0.9919  0.5087  0.7828
S  0.9919  0.9913  0.7828

***

For Ac7TbPr12, a DFT-relaxed cell (GGA-PBE, Alexandria) gives the computed XRD peak list in this record (Cu Kα X-rays).

Top 8 peaks for 2θ = 10–90°, by intensity:
two_theta	d/Å	I/Imax
36.0	2.498	100
29.2	3.059	87
20.5	4.326	73
56.3	1.635	67
41.8	2.163	35
80.0	1.200	35
64.6	1.442	30
47.0	1.935	28

abc: 10.5974 10.5974 10.5974
angles: 109.47 109.47 109.47
Element x y z (fractional)
Ac  0.0000  0.0000  0.5000
Ac  0.0000  0.5000  0.0000
Ac  0.0000  0.5000  0.5000
Ac  0.5000  0.0000  0.0000
Ac  0.5000  0.0000  0.5000
Ac  0.5000  0.5000  0.0000
Ac  0.5000  0.5000  0.5000
Tb  0.0000  0.0000  0.0000
Pr  0.0834  0.3241  0.7593
Pr  0.2407  0.5648  0.3241
Pr  0.2407  0.9166  0.6759
Pr  0.3241  0.2407  0.5648
Pr  0.3241  0.7593  0.0834
Pr  0.4352  0.6759  0.7593
Pr  0.5648  0.3241  0.2407
Pr  0.6759  0.2407  0.9166
Pr  0.6759  0.7593  0.4352
Pr  0.7593  0.0834  0.3241
Pr  0.7593  0.4352  0.6759
Pr  0.9166  0.6759  0.2407

***

For HfUGe, a DFT-relaxed cell (GGA-PBE, Alexandria) gives the computed XRD peak list in this record (Cu Kα X-rays).

Top 8 peaks for 2θ = 10–90°, by intensity:
two_theta	d/Å	I/Imax
36.2	2.483	100
37.0	2.431	78
37.9	2.372	40
23.6	3.768	30
35.9	2.505	27
52.2	1.752	25
66.3	1.409	25
72.3	1.307	22

abc: 4.7430 6.2038 8.4924
angles: 90.00 90.00 90.00
Element x y z (fractional)
Hf  0.0000  0.2404  0.0000
Hf  0.0000  0.7597  0.0000
Hf  0.5000  0.2596  0.5000
Hf  0.5000  0.7403  0.5000
U  0.0000  0.0000  0.3567
U  0.0000  0.0000  0.6433
U  0.5000  0.5000  0.1433
U  0.5000  0.5000  0.8567
Ge  0.0000  0.5000  0.3379
Ge  0.0000  0.5000  0.6621
Ge  0.5000  0.0000  0.1621
Ge  0.5000  0.0000  0.8379

***

For DyNi4Sn, a DFT-relaxed cell (GGA-PBE, Alexandria) gives the computed XRD peak list in this record (Cu Kα X-rays).

Top 8 peaks for 2θ = 10–90°, by intensity:
two_theta	d/Å	I/Imax
32.0	2.801	100
40.5	2.226	86
41.5	2.174	77
46.5	1.953	56
44.5	2.037	52
61.7	1.503	50
38.0	2.370	49
34.9	2.570	34

abc: 8.9032 8.9032 4.0750
angles: 90.00 90.00 120.00
Element x y z (fractional)
Dy  0.0000  0.0000  0.0000
Dy  0.3333  0.6667  0.5000
Dy  0.6667  0.3333  0.5000
Ni  0.0000  0.2928  0.5000
Ni  0.0000  0.7072  0.5000
Ni  0.1758  0.3517  0.0000
Ni  0.1758  0.8242  0.0000
Ni  0.2928  0.0000  0.5000
Ni  0.2928  0.2928  0.5000
Ni  0.3517  0.1758  0.0000
Ni  0.6483  0.8242  0.0000
Ni  0.7072  0.0000  0.5000
Ni  0.7072  0.7072  0.5000
Ni  0.8242  0.1758  0.0000
Ni  0.8242  0.6483  0.0000
Sn  0.0000  0.5000  0.0000
Sn  0.5000  0.0000  0.0000
Sn  0.5000  0.5000  0.0000

***

For CdIn6Hg10, a DFT-relaxed cell (GGA-PBE, Alexandria) gives the computed XRD peak list in this record (Cu Kα X-rays).

Top 8 peaks for 2θ = 10–90°, by intensity:
two_theta	d/Å	I/Imax
33.8	2.648	100
33.4	2.680	68
34.6	2.589	63
49.2	1.851	24
30.5	2.935	18
53.3	1.720	15
61.6	1.506	11
65.1	1.432	11

abc: 8.9681 8.9681 6.5641
angles: 90.00 90.00 120.00
Element x y z (fractional)
Cd  0.0000  0.0000  0.0000
In  0.0000  0.3866  0.7712
In  0.0000  0.6134  0.2288
In  0.3866  0.0000  0.7712
In  0.3866  0.3866  0.2288
In  0.6134  0.0000  0.2288
In  0.6134  0.6134  0.7712
Hg  0.0000  0.2627  0.3001
Hg  0.0000  0.7373  0.6999
Hg  0.2627  0.0000  0.3001
Hg  0.2627  0.2627  0.6999
Hg  0.3333  0.6667  0.0000
Hg  0.3333  0.6667  0.5000
Hg  0.6667  0.3333  0.0000
Hg  0.6667  0.3333  0.5000
Hg  0.7373  0.0000  0.6999
Hg  0.7373  0.7373  0.3001

***

For Ce4Se, a DFT-relaxed cell (GGA-PBE, Alexandria) gives the computed XRD peak list in this record (Cu Kα X-rays).

Top 8 peaks for 2θ = 10–90°, by intensity:
two_theta	d/Å	I/Imax
27.8	3.204	100
32.3	2.775	91
46.3	1.962	67
54.9	1.673	45
76.8	1.241	30
57.5	1.602	23
85.8	1.133	23
74.5	1.273	18

abc: 5.5497 5.5497 5.5497
angles: 90.00 90.00 90.00
Element x y z (fractional)
Ce  0.0000  0.0000  0.0000
Ce  0.0000  0.5000  0.5000
Ce  0.5000  0.0000  0.5000
Ce  0.5000  0.5000  0.0000
Se  0.5000  0.5000  0.5000

***

For RbNiAgBr6, a DFT-relaxed cell (GGA-PBE, Alexandria) gives the computed XRD peak list in this record (Cu Kα X-rays).

Top 8 peaks for 2θ = 10–90°, by intensity:
two_theta	d/Å	I/Imax
18.9	4.707	100
11.8	7.530	83
35.2	2.553	81
28.3	3.156	57
28.2	3.165	55
35.0	2.563	41
45.0	2.013	28
41.4	2.181	24

abc: 6.9509 6.9600 7.5297
angles: 90.04 90.16 119.77
Element x y z (fractional)
Rb  0.0000  0.0000  0.0000
Ni  0.6665  0.3338  0.5000
Ag  0.3331  0.6677  0.5000
Br  0.3975  0.0398  0.6914
Br  0.3975  0.3598  0.3074
Br  0.6404  0.6028  0.6921
Br  0.6421  0.0405  0.3073
Br  0.9603  0.3585  0.6930
Br  0.9610  0.6030  0.3088

***

For YErTl4, a DFT-relaxed cell (GGA-PBE, Alexandria) gives the computed XRD peak list in this record (Cu Kα X-rays).

Top 8 peaks for 2θ = 10–90°, by intensity:
two_theta	d/Å	I/Imax
37.6	2.390	100
32.1	2.792	86
26.8	3.327	69
32.8	2.733	68
41.0	2.202	41
36.4	2.467	38
34.3	2.614	36
23.6	3.769	28

abc: 4.9260 4.9291 7.8885
angles: 100.12 100.03 107.26
Element x y z (fractional)
Y  0.0000  0.0000  0.0000
Er  0.9535  0.0458  0.5004
Tl  0.2883  0.6991  0.7020
Tl  0.3004  0.7117  0.2974
Tl  0.6568  0.3395  0.7953
Tl  0.6603  0.3423  0.2061

***

For Cu2NiI5, a DFT-relaxed cell (GGA-PBE, Alexandria) gives the computed XRD peak list in this record (Cu Kα X-rays).

Top 8 peaks for 2θ = 10–90°, by intensity:
two_theta	d/Å	I/Imax
15.9	5.571	100
25.6	3.477	71
42.6	2.124	51
34.3	2.611	49
13.7	6.446	46
36.0	2.492	43
24.8	3.583	42
26.0	3.425	39

abc: 11.8732 8.4528 6.9632
angles: 90.00 122.93 90.00
Element x y z (fractional)
Cu  0.0000  0.1604  0.0000
Cu  0.0000  0.8396  0.0000
Cu  0.5000  0.3396  0.0000
Cu  0.5000  0.6604  0.0000
Ni  0.2508  0.0000  0.6936
Ni  0.7508  0.5000  0.6936
I  0.0031  0.0000  0.3323
I  0.0083  0.5000  0.9833
I  0.1939  0.0000  0.0232
I  0.2607  0.2986  0.6544
I  0.2607  0.7014  0.6544
I  0.5031  0.5000  0.3323
I  0.5083  0.0000  0.9833
I  0.6939  0.5000  0.0232
I  0.7607  0.2014  0.6544
I  0.7607  0.7986  0.6544

***

For Mg5In2IrPd2, a DFT-relaxed cell (GGA-PBE, Alexandria) gives the computed XRD peak list in this record (Cu Kα X-rays).

Top 8 peaks for 2θ = 10–90°, by intensity:
two_theta	d/Å	I/Imax
38.2	2.356	100
25.5	3.494	80
36.4	2.471	45
28.0	3.190	34
46.5	1.953	27
22.8	3.907	26
57.8	1.595	24
64.2	1.451	19

abc: 11.0501 11.0501 3.1900
angles: 90.00 90.00 90.00
Element x y z (fractional)
Mg  0.0000  0.5000  0.0000
Mg  0.0513  0.1895  0.0000
Mg  0.1895  0.9487  0.0000
Mg  0.3105  0.4487  0.0000
Mg  0.4487  0.6895  0.0000
Mg  0.5000  0.0000  0.0000
Mg  0.5513  0.3105  0.0000
Mg  0.6895  0.5513  0.0000
Mg  0.8105  0.0513  0.0000
Mg  0.9487  0.8105  0.0000
In  0.1770  0.6770  0.5000
In  0.3230  0.1770  0.5000
In  0.6770  0.8230  0.5000
In  0.8230  0.3230  0.5000
Ir  0.0000  0.0000  0.5000
Ir  0.5000  0.5000  0.5000
Pd  0.1374  0.3626  0.5000
Pd  0.3626  0.8626  0.5000
Pd  0.6374  0.1374  0.5000
Pd  0.8626  0.6374  0.5000